1.
Ho11In9Ga4: computed XRD peak list (a wavelength of 1.5418 Å), based on a structure optimized by DFT (PBE).

Atomic structure:
```
Ho11In9Ga4
1.0
7.2402 -10.9736 0.0000
7.2402 10.9736 0.0000
0.0000 0.0000 3.7493
Ho In Ga
11 9 4
Cartesian
0.0000 0.0000 0.0000
3.4361 3.8113 0.0000
7.2402 7.3908 0.0000
4.3703 0.0000 0.0000
7.2402 2.8474 0.0000
3.4361 -3.8113 0.0000
11.0443 3.8113 0.0000
7.2402 -2.8474 0.0000
10.1101 0.0000 0.0000
7.2402 -7.3908 0.0000
11.0443 -3.8113 0.0000
2.0195 1.6353 1.8747
5.6884 5.1957 1.8747
2.0195 -1.6353 1.8747
8.7920 5.1957 1.8747
7.2402 0.0000 1.8747
5.6884 -5.1957 1.8747
12.4609 1.6353 1.8747
8.7920 -5.1957 1.8747
12.4609 -1.6353 1.8747
5.0327 2.1942 1.8747
5.0327 -2.1942 1.8747
9.4477 2.1942 1.8747
9.4477 -2.1942 1.8747
```

Main lines, sorted by position (15 to 90 degrees two-theta):
| Position (°2θ) | I (rel.) |
| --- | --- |
| 32.63 | 27 |
| 34.25 | 100 |
| 34.44 | 100 |
| 34.87 | 83 |
| 48.56 | 30 |
| 61.18 | 36 |



2.
Dy3Ni9SnGe2: computed XRD peak list (a wavelength of 1.5418 Å), based on a structure optimized by DFT (PBE).

Atomic structure:
```
Dy3Ni9SnGe2
1.0
5.9408 0.0000 0.0000
-2.9704 5.1449 0.0000
0.0000 0.0000 9.0333
Dy Ni Sn Ge
3 9 1 2
Cartesian
0.0000 0.0000 0.0000
0.0000 3.4299 6.5943
2.9704 1.7150 2.4390
-1.4852 2.5724 0.0000
0.0000 1.3817 2.4171
-1.7738 4.4540 2.4171
1.1966 0.6908 6.6162
2.9704 0.0000 0.0000
1.4852 2.5724 0.0000
1.7738 4.4540 2.4171
4.7442 0.6908 6.6162
2.9704 3.7632 6.6162
0.0000 0.0000 4.5166
0.0000 3.4299 1.5862
2.9704 1.7150 7.4471
```

Main lines, sorted by position (15 to 90 degrees two-theta):
| Position (°2θ) | I (rel.) |
| --- | --- |
| 26.26 | 39 |
| 30.08 | 54 |
| 36.31 | 46 |
| 40.35 | 100 |
| 46.43 | 26 |
| 51.14 | 39 |



3.
Cs2PtBrCl5: computed XRD peak list (a wavelength of 1.5418 Å), based on a structure optimized by DFT (PBE).

Atomic structure:
```
Cs2PtBrCl5
1.0
-3.8018 3.8018 5.2077
3.8018 -3.8018 5.2077
3.8018 3.8018 -5.2077
Cs Pt Br Cl
2 1 1 5
Cartesian
3.8018 0.0000 0.0000
0.0000 3.8018 0.0000
0.0000 0.0000 2.6000
0.0000 0.0000 0.1063
2.1342 2.1342 -2.6045
1.6676 -1.6676 2.6033
-1.6676 1.6676 2.6033
1.6676 1.6676 2.6033
0.0000 0.0000 4.9649
```

Main lines, sorted by position (15 to 90 degrees two-theta):
| Position (°2θ) | I (rel.) |
| --- | --- |
| 23.40 | 85 |
| 23.79 | 100 |
| 29.08 | 56 |
| 33.33 | 89 |
| 41.36 | 42 |
| 48.68 | 57 |



4.
La2CdH6Ru: computed XRD peak list (a wavelength of 1.5418 Å), based on a structure optimized by DFT (PBE).

Atomic structure:
```
La2CdH6Ru
1.0
4.7602 0.0000 0.0000
-2.3801 4.1224 0.0000
0.0000 0.0000 7.2665
La Cd H Ru
2 1 6 1
Cartesian
0.0000 2.7483 2.0733
2.3801 1.3741 5.1932
0.0000 0.0000 0.0000
0.0000 1.4391 4.5737
-1.1338 3.4029 4.5737
1.2463 0.7195 2.6928
1.1338 3.4029 4.5737
3.5139 0.7195 2.6928
2.3801 2.6833 2.6928
0.0000 0.0000 3.6332
```

Main lines, sorted by position (15 to 90 degrees two-theta):
| Position (°2θ) | I (rel.) |
| --- | --- |
| 24.83 | 87 |
| 32.86 | 100 |
| 37.80 | 64 |
| 45.76 | 18 |
| 50.94 | 29 |
| 65.14 | 27 |



5.
La7Ge4Br4: computed XRD peak list (a wavelength of 1.5418 Å), based on a structure optimized by DFT (PBE).

Atomic structure:
```
La7Ge4Br4
1.0
-7.9104 7.9104 3.7190
7.9104 -7.9104 3.7190
7.9104 7.9104 -3.7190
La Ge Br
14 8 8
Cartesian
4.4624 0.0000 0.0000
11.3584 0.0000 0.0000
7.9104 1.9985 0.0000
0.0000 0.0000 1.8417
0.0000 4.4624 0.0000
4.6451 4.6451 0.0000
3.2653 -3.2653 3.7190
1.9985 7.9104 0.0000
5.9119 0.0000 3.7190
-3.2653 3.2653 3.7190
3.2653 3.2653 3.7190
0.0000 11.3584 0.0000
0.0000 0.0000 5.5963
0.0000 5.9119 3.7190
5.5396 -2.3708 1.8595
10.2812 -2.3708 1.8595
5.5396 2.3708 1.8595
10.2812 2.3708 1.8595
-2.3708 5.5396 1.8595
2.3708 5.5396 1.8595
-2.3708 10.2812 1.8595
2.3708 10.2812 1.8595
1.7891 1.7891 0.0000
6.1213 -6.1213 3.7190
7.9104 5.3663 0.0000
5.3663 7.9104 0.0000
2.5441 0.0000 3.7190
0.0000 2.5441 3.7190
-6.1213 6.1213 3.7190
6.1213 6.1213 3.7190
```

Main lines, sorted by position (15 to 90 degrees two-theta):
| Position (°2θ) | I (rel.) |
| --- | --- |
| 23.91 | 27 |
| 29.94 | 33 |
| 30.71 | 100 |
| 34.02 | 37 |
| 35.01 | 47 |
| 46.52 | 37 |



6.
ScMnTc2: computed XRD peak list (a wavelength of 1.5418 Å), based on a structure optimized by DFT (PBE).

Atomic structure:
```
ScMnTc2
1.0
3.0933 0.0000 0.0000
0.0000 4.3910 0.0000
0.0000 0.0000 4.4119
Sc Mn Tc
1 1 2
Cartesian
0.0000 0.0000 0.0000
1.5467 0.0000 2.2060
0.0000 2.1955 2.2060
1.5467 2.1955 0.0000
```

Main lines, sorted by position (15 to 90 degrees two-theta):
| Position (°2θ) | I (rel.) |
| --- | --- |
| 20.22 | 14 |
| 40.91 | 20 |
| 41.14 | 100 |
| 59.39 | 13 |
| 74.66 | 13 |
| 74.96 | 19 |



7.
CrPd6Au2: computed XRD peak list (a wavelength of 1.5418 Å), based on a structure optimized by DFT (PBE).

Atomic structure:
```
CrPd6Au2
1.0
4.4298 -2.0038 0.0000
4.4298 2.0038 0.0000
-2.5482 0.0000 8.0056
Cr Pd Au
1 6 2
Cartesian
0.0000 0.0000 0.0000
8.0193 0.0000 2.6375
-1.7079 0.0000 5.3681
2.6865 0.0000 0.8670
1.8350 0.0000 3.5601
4.4764 0.0000 4.4455
3.6249 0.0000 7.1387
0.9682 0.0000 6.2302
5.3432 0.0000 1.7755
```

Main lines, sorted by position (15 to 90 degrees two-theta):
| Position (°2θ) | I (rel.) |
| --- | --- |
| 39.11 | 100 |
| 39.25 | 99 |
| 45.25 | 34 |
| 45.38 | 33 |
| 46.03 | 31 |
| 66.50 | 31 |



8.
Ba6Te5: computed XRD peak list (a wavelength of 1.5418 Å), based on a structure optimized by DFT (PBE).

Atomic structure:
```
Ba6Te5
1.0
4.3087 -7.4590 0.0000
4.3087 7.4590 0.0000
-2.8743 0.0000 8.1290
Ba Te
6 5
Cartesian
-0.0259 2.5250 6.0759
1.3916 0.0000 2.0586
-0.0259 -2.5250 6.0759
5.7690 2.5250 2.0531
4.3514 0.0000 6.0703
5.7690 -2.5250 2.0531
-1.4372 0.0000 4.0645
4.3087 4.9707 0.0000
2.8715 2.4763 4.0645
2.8715 -2.4763 4.0645
4.3087 -4.9707 0.0000
```

Main lines, sorted by position (15 to 90 degrees two-theta):
| Position (°2θ) | I (rel.) |
| --- | --- |
| 25.32 | 100 |
| 36.11 | 78 |
| 44.61 | 29 |
| 58.68 | 38 |
| 64.93 | 28 |
| 82.20 | 18 |



9.
PrMg2Ir: computed XRD peak list (a wavelength of 1.5418 Å), based on a structure optimized by DFT (PBE).

Atomic structure:
```
PrMg2Ir
1.0
15.7236 0.0000 0.0000
0.0000 8.3119 0.0000
0.0000 0.0000 5.5847
Pr Mg Ir
8 16 8
Cartesian
1.6307 2.0780 1.3536
2.1341 6.2339 0.2353
5.7276 2.0780 3.0276
6.2311 6.2339 4.1459
9.4925 2.0780 1.4387
9.9959 6.2339 2.5570
13.5894 2.0780 5.3494
14.0929 6.2339 4.2311
0.6756 0.4764 4.0578
0.6756 3.6796 4.0578
3.3230 4.6268 2.9819
3.3230 7.8411 2.9819
4.5388 0.4708 0.1895
4.5388 3.6852 0.1895
7.1861 4.6323 1.2655
7.1861 7.8355 1.2655
8.5374 0.4764 4.3192
8.5374 3.6796 4.3192
11.1848 4.6268 5.3951
11.1848 7.8411 5.3951
12.4005 0.4708 2.6028
12.4005 3.6852 2.6028
15.0479 4.6323 1.5268
15.0479 7.8355 1.5268
1.0706 6.2339 2.9927
2.9773 2.0780 4.1224
4.8845 6.2339 1.3301
6.7912 2.0780 0.2004
8.9324 6.2339 5.3843
10.8391 2.0780 4.2546
12.7463 6.2339 1.4623
14.6530 2.0780 2.5919
```

Main lines, sorted by position (15 to 90 degrees two-theta):
| Position (°2θ) | I (rel.) |
| --- | --- |
| 21.38 | 100 |
| 22.26 | 37 |
| 34.46 | 29 |
| 35.79 | 91 |
| 37.97 | 35 |
| 47.66 | 32 |